No. 1
Diffraction record for TbDyAs2Ir2O2. The powder diffractogram is computed, not measured: it uses a PBE-relaxed structure and Cu Kα (λ = 1.5418 Å).

Structural model:
Cell lengths 4.0286, 4.0286, 8.0774 Å; angles 90.00, 90.00, 90.00 degrees
Sites, in units of the cell vectors:
Tb 0.0000 0.0000 0.0000
Dy 0.5000 0.5000 0.7373
As 0.0000 0.0000 0.5458
As 0.5000 0.5000 0.1908
Ir 0.0000 0.5000 0.3683
Ir 0.5000 0.0000 0.3683
O 0.0000 0.5000 0.8670
O 0.5000 0.0000 0.8670

Peak list (6 most intense, 2θ = 10–90°, in order of falling intensity)
| two_theta | Rel. int. |
| --- | --- |
| 33.3 | 100 |
| 31.4 | 79 |
| 55.8 | 77 |
| 38.7 | 65 |
| 45.0 | 59 |
| 11.0 | 43 |



No. 2
Diffraction record for NdH3CSO7. The powder diffractogram is computed, not measured: it uses a PBE-relaxed structure and Cu Kα (λ = 1.5418 Å).

Structural model:
Cell lengths 6.8861, 6.8861, 11.4718 Å; angles 90.00, 90.00, 90.00 degrees
Sites, in units of the cell vectors:
Nd 0.1200 0.3711 0.0000
Nd 0.3711 0.8800 0.2500
Nd 0.6289 0.1200 0.7500
Nd 0.8800 0.6289 0.5000
H 0.0214 0.8599 0.9563
H 0.1401 0.0214 0.7063
H 0.1671 0.6072 0.7707
H 0.3774 0.5512 0.8154
H 0.3928 0.1671 0.5207
H 0.4488 0.3774 0.5654
H 0.5512 0.6226 0.0654
H 0.6072 0.8329 0.0207
H 0.6226 0.4488 0.3154
H 0.8329 0.3928 0.2707
H 0.8599 0.9786 0.2063
H 0.9786 0.1401 0.4563
C 0.1118 0.8648 0.0353
C 0.1352 0.1118 0.7853
C 0.8648 0.8882 0.2853
C 0.8882 0.1352 0.5353
S 0.2435 0.3817 0.3144
S 0.3817 0.7565 0.5644
S 0.6183 0.2435 0.0644
S 0.7565 0.6183 0.8144
O 0.0288 0.8355 0.3264
O 0.1166 0.3585 0.2118
O 0.1283 0.4439 0.4151
O 0.1585 0.7079 0.0859
O 0.1645 0.0288 0.0764
O 0.1957 0.6645 0.5956
O 0.2427 0.5783 0.8415
O 0.2921 0.1585 0.8359
O 0.3355 0.1957 0.3456
O 0.3585 0.8834 0.4618
O 0.3956 0.5313 0.2887
O 0.4217 0.2427 0.5915
O 0.4439 0.8717 0.6651
O 0.4687 0.3956 0.0387
O 0.5313 0.6044 0.5387
O 0.5561 0.1283 0.1651
O 0.5783 0.7573 0.0915
O 0.6044 0.4687 0.7887
O 0.6415 0.1166 0.9618
O 0.6645 0.8043 0.8456
O 0.7079 0.8415 0.3359
O 0.7573 0.4217 0.3415
O 0.8043 0.3355 0.0956
O 0.8355 0.9712 0.5764
O 0.8415 0.2921 0.5859
O 0.8717 0.5561 0.9151
O 0.8834 0.6415 0.7118
O 0.9712 0.1645 0.8264

Peak list (6 most intense, 2θ = 10–90°, in order of falling intensity)
| two_theta | Rel. int. |
| --- | --- |
| 15.0 | 100 |
| 27.0 | 80 |
| 20.1 | 78 |
| 29.0 | 44 |
| 43.1 | 43 |
| 35.1 | 42 |



No. 3
Diffraction record for ZnPt15. The powder diffractogram is computed, not measured: it uses a PBE-relaxed structure and Cu Kα (λ = 1.5418 Å).

Structural model:
Cell lengths 5.5563, 2.8001, 45.3784 Å; angles 90.00, 90.00, 90.00 degrees
Sites, in units of the cell vectors:
Zn 0.1250 0.2500 0.3290
Zn 0.8750 0.7500 0.6710
Pt 0.1228 0.2500 0.7118
Pt 0.1242 0.2500 0.8011
Pt 0.1250 0.2500 0.0663
Pt 0.1250 0.2500 0.1547
Pt 0.1250 0.2500 0.2437
Pt 0.1248 0.2500 0.8895
Pt 0.1250 0.2500 0.9779
Pt 0.3729 0.7500 0.2881
Pt 0.3742 0.7500 0.1989
Pt 0.3750 0.7500 0.0221
Pt 0.3748 0.7500 0.1105
Pt 0.3750 0.7500 0.6690
Pt 0.3750 0.7500 0.7572
Pt 0.3750 0.7500 0.8454
Pt 0.3750 0.7500 0.9337
Pt 0.6250 0.2500 0.0663
Pt 0.6250 0.2500 0.1546
Pt 0.6250 0.2500 0.2428
Pt 0.6250 0.2500 0.3310
Pt 0.6252 0.2500 0.8895
Pt 0.6250 0.2500 0.9779
Pt 0.6258 0.2500 0.8011
Pt 0.6271 0.2500 0.7119
Pt 0.8750 0.7500 0.0221
Pt 0.8752 0.7500 0.1105
Pt 0.8750 0.7500 0.7563
Pt 0.8750 0.7500 0.8453
Pt 0.8750 0.7500 0.9337
Pt 0.8758 0.7500 0.1989
Pt 0.8772 0.7500 0.2882

Peak list (6 most intense, 2θ = 10–90°, in order of falling intensity)
| two_theta | Rel. int. |
| --- | --- |
| 46.0 | 100 |
| 38.9 | 81 |
| 39.1 | 80 |
| 40.1 | 39 |
| 40.3 | 39 |
| 67.1 | 31 |



No. 4
Diffraction record for MgZnSeO. The powder diffractogram is computed, not measured: it uses a PBE-relaxed structure and Cu Kα (λ = 1.5418 Å).

Structural model:
Cell lengths 5.4525, 5.4525, 8.5684 Å; angles 90.00, 90.00, 92.63 degrees
Sites, in units of the cell vectors:
Mg 0.2494 0.7506 0.0003
Mg 0.2506 0.7494 0.5003
Mg 0.7494 0.2506 0.4997
Mg 0.7506 0.2494 0.9997
Zn 0.0992 0.4008 0.2500
Zn 0.4008 0.0992 0.7500
Zn 0.5992 0.9008 0.2500
Zn 0.9008 0.5992 0.7500
Se 0.2503 0.2503 0.0000
Se 0.2497 0.2497 0.5000
Se 0.7497 0.7497 0.0000
Se 0.7503 0.7503 0.5000
O 0.2380 0.7620 0.7502
O 0.2620 0.7380 0.2502
O 0.7380 0.2620 0.7498
O 0.7620 0.2380 0.2498

Peak list (6 most intense, 2θ = 10–90°, in order of falling intensity)
| two_theta | Rel. int. |
| --- | --- |
| 39.2 | 100 |
| 23.6 | 87 |
| 30.8 | 68 |
| 24.9 | 67 |
| 32.9 | 64 |
| 42.2 | 60 |